No. 1
The following is a calculated powder diffractogram of Li3Mn2O5. It was derived from a GGA+U-relaxed structure, using λ = 1.5418 Å (Cu Kα).

Atomic structure:
Cell lengths 6.7442, 6.7442, 9.8753 Å; angles 103.09, 103.09, 24.72 degrees
Element x y z (fractional)
Li  0.0000  0.0000  0.0000
Li  0.0938  0.0938  0.2908
Li  0.3060  0.3060  0.9022
Li  0.5000  0.5000  0.5000
Li  0.6940  0.6940  0.0978
Li  0.9062  0.9062  0.7092
Mn  0.1987  0.1987  0.6031
Mn  0.4094  0.4094  0.1924
Mn  0.5906  0.5906  0.8076
Mn  0.8013  0.8013  0.3969
O  0.0513  0.0513  0.6704
O  0.1451  0.1451  0.9348
O  0.2628  0.2628  0.2574
O  0.3484  0.3484  0.5319
O  0.4614  0.4614  0.8456
O  0.5386  0.5386  0.1544
O  0.6516  0.6516  0.4681
O  0.7372  0.7372  0.7426
O  0.8549  0.8549  0.0652
O  0.9487  0.9487  0.3296

Main lines, by angle (2θ from 10° to 90°):
2θ/deg  I_rel
18.3  100
36.1  22
42.1  32
43.9  59
62.2  15
62.7  16



No. 2
The following is a calculated powder diffractogram of Na3Mn2P2C2O14. It was derived from a GGA+U-relaxed structure, using λ = 1.5418 Å (Cu Kα).

Atomic structure:
Cell lengths 8.3519, 8.4694, 8.9752 Å; angles 89.98, 88.10, 76.37 degrees
Element x y z (fractional)
Na  0.1075  0.3601  0.2458
Na  0.3818  0.1171  0.7634
Na  0.3862  0.6251  0.2408
Na  0.6138  0.3749  0.7592
Na  0.6182  0.8829  0.2366
Na  0.8925  0.6399  0.7542
Mn  0.0182  0.7385  0.3523
Mn  0.4717  0.7672  0.6581
Mn  0.5283  0.2328  0.3419
Mn  0.9818  0.2615  0.6477
P  0.2305  0.0113  0.4265
P  0.2663  0.4710  0.5742
P  0.7337  0.5290  0.4258
P  0.7695  0.9887  0.5735
C  0.0053  0.2399  0.9194
C  0.4881  0.2583  0.0747
C  0.5119  0.7417  0.9253
C  0.9947  0.7601  0.0806
O  0.0230  0.2309  0.0545
O  0.0845  0.1624  0.4645
O  0.1001  0.1428  0.8194
O  0.1089  0.6511  0.1485
O  0.1287  0.4112  0.6652
O  0.1715  0.8755  0.3406
O  0.1946  0.5514  0.4264
O  0.3060  0.9463  0.5755
O  0.3317  0.5846  0.6734
O  0.3517  0.0661  0.3190
O  0.3932  0.3550  0.1751
O  0.3965  0.8507  0.8631
O  0.4094  0.3203  0.5320
O  0.4692  0.2714  0.9375
O  0.5308  0.7286  0.0625
O  0.5906  0.6797  0.4680
O  0.6035  0.1493  0.1369
O  0.6068  0.6450  0.8249
O  0.6483  0.9339  0.6810
O  0.6683  0.4154  0.3266
O  0.6940  0.0537  0.4245
O  0.8054  0.4486  0.5736
O  0.8285  0.1245  0.6594
O  0.8713  0.5888  0.3348
O  0.8911  0.3489  0.8515
O  0.8999  0.8572  0.1806
O  0.9155  0.8376  0.5355
O  0.9770  0.7691  0.9455

Main lines, by angle (2θ from 10° to 90°):
2θ/deg  I_rel
16.5  50
16.8  53
24.4  44
25.9  78
27.0  100
34.5  58